No. 1
This entry pairs a crystal structure of SmSiPd with its computed X-ray powder pattern. Radiation: Cu Kα (λ = 1.5418 Å). Structure: a DFT-relaxed cell (GGA-PBE, the Materials Project).
Lines closer than 0.1° are merged.

Principal peaks in the range 10 to 90 degrees two-theta, sorted by position:
d (Å), I (rel.)
3.768, 22.9
3.336, 22.9
2.665, 75.2
2.619, 37.7
2.597, 100.0
2.409, 25.0
2.281, 30.3
2.202, 40.7
2.163, 38.1
1.414, 33.1

Unit cell a=7.168 b=4.326 c=7.674 alpha=90.00 beta=90.00 gamma=90.00
Positions (direct):
Sm 0.003 0.250 0.193
Sm 0.497 0.750 0.693
Sm 0.503 0.250 0.307
Sm 0.997 0.750 0.807
Si 0.205 0.750 0.399
Si 0.295 0.250 0.899
Si 0.705 0.750 0.101
Si 0.795 0.250 0.601
Pd 0.166 0.250 0.572
Pd 0.334 0.750 0.072
Pd 0.666 0.250 0.928
Pd 0.834 0.750 0.428

No. 2
This entry pairs a crystal structure of Dy2In3Cu with its computed X-ray powder pattern. Radiation: Cu Kα (λ = 1.5418 Å). Structure: a DFT-relaxed cell (GGA-PBE, the Materials Project).
Lines closer than 0.1° are merged.

Principal peaks in the range 10 to 90 degrees two-theta, sorted by position:
d (Å), I (rel.)
4.085, 7.6
3.582, 12.6
2.752, 100.0
2.358, 73.2
2.122, 17.1
1.791, 28.0
1.462, 10.8
1.426, 26.1
1.362, 12.4
1.179, 7.8

Unit cell a=4.716 b=4.716 c=7.450 alpha=90.00 beta=90.00 gamma=120.00
Positions (direct):
Dy 0.000 0.000 0.000
Dy 0.000 0.000 0.460
In 0.333 0.667 0.239
In 0.333 0.667 0.671
In 0.667 0.333 0.790
Cu 0.667 0.333 0.178

No. 3
This entry pairs a crystal structure of Ca2Cu9O13 with its computed X-ray powder pattern. Radiation: Cu Kα (λ = 1.5418 Å). Structure: a DFT-relaxed cell (GGA-PBE, the Materials Project).
Lines closer than 0.1° are merged.

Principal peaks in the range 10 to 90 degrees two-theta, sorted by position:
d (Å), I (rel.)
8.109, 84.3
2.536, 100.0
2.530, 70.6
2.476, 47.2
2.188, 41.3
2.147, 65.2
2.105, 42.6
2.050, 42.4
1.538, 37.6
1.315, 33.3

Unit cell a=5.186 b=5.186 c=16.398 alpha=98.11 beta=98.11 gamma=34.52
Positions (direct):
Ca 0.216 0.216 0.229
Ca 0.784 0.784 0.771
Cu 0.004 0.004 0.663
Cu 0.063 0.063 0.880
Cu 0.249 0.249 0.579
Cu 0.353 0.353 0.962
Cu 0.500 0.500 0.500
Cu 0.647 0.647 0.038
Cu 0.751 0.751 0.421
Cu 0.937 0.937 0.120
Cu 0.996 0.996 0.337
O 0.000 0.000 0.000
O 0.117 0.117 0.773
O 0.133 0.133 0.471
O 0.299 0.299 0.071
O 0.373 0.373 0.677
O 0.391 0.391 0.388
O 0.422 0.422 0.862
O 0.578 0.578 0.138
O 0.609 0.609 0.612
O 0.627 0.627 0.323
O 0.701 0.701 0.929
O 0.867 0.867 0.529
O 0.883 0.883 0.227

No. 4
This entry pairs a crystal structure of Sm5B4Rh15 with its computed X-ray powder pattern. Radiation: Cu Kα (λ = 1.5418 Å). Structure: a DFT-relaxed cell (GGA-PBE, the Materials Project).
Lines closer than 0.1° are merged.

Principal peaks in the range 10 to 90 degrees two-theta, sorted by position:
d (Å), I (rel.)
4.250, 1.2
2.966, 2.2
2.432, 100.0
2.125, 35.8
2.070, 15.7
1.502, 11.7
1.483, 21.2
1.278, 25.4
1.254, 10.9
1.216, 10.9

Unit cell a=4.250 b=4.250 c=20.703 alpha=90.00 beta=90.00 gamma=90.00
Positions (direct):
Sm 0.000 0.000 0.000
Sm 0.000 0.000 0.201
Sm 0.000 0.000 0.404
Sm 0.000 0.000 0.596
Sm 0.000 0.000 0.799
B 0.500 0.500 0.102
B 0.500 0.500 0.310
B 0.500 0.500 0.690
B 0.500 0.500 0.898
Rh 0.000 0.500 0.101
Rh 0.000 0.500 0.303
Rh 0.000 0.500 0.500
Rh 0.000 0.500 0.697
Rh 0.000 0.500 0.899
Rh 0.500 0.000 0.101
Rh 0.500 0.000 0.303
Rh 0.500 0.000 0.500
Rh 0.500 0.000 0.697
Rh 0.500 0.000 0.899
Rh 0.500 0.500 0.000
Rh 0.500 0.500 0.204
Rh 0.500 0.500 0.409
Rh 0.500 0.500 0.591
Rh 0.500 0.500 0.796

No. 5
This entry pairs a crystal structure of Ba3Sc3InCu3O12 with its computed X-ray powder pattern. Radiation: Cu Kα (λ = 1.5418 Å). Structure: a DFT-relaxed cell (GGA-PBE, the Materials Project).
Lines closer than 0.1° are merged.

Principal peaks in the range 10 to 90 degrees two-theta, sorted by position:
d (Å), I (rel.)
3.483, 14.8
3.124, 35.4
3.034, 18.5
3.020, 100.0
2.848, 51.8
2.781, 15.1
2.140, 50.3
2.132, 34.3
1.743, 23.6
1.510, 34.5

Unit cell a=9.563 b=9.563 c=9.563 alpha=127.04 beta=101.70 gamma=101.23
Positions (direct):
Ba 0.000 0.248 0.248
Ba 0.000 0.752 0.752
Ba 0.057 0.529 0.028
Ba 0.499 0.471 0.528
Ba 0.501 0.029 0.972
Ba 0.943 0.971 0.472
Sc 0.240 0.500 0.740
Sc 0.240 0.740 0.500
Sc 0.243 0.000 0.243
Sc 0.757 0.000 0.757
Sc 0.760 0.260 0.500
Sc 0.760 0.500 0.260
In 0.242 0.242 0.000
In 0.758 0.758 0.000
Cu 0.291 0.145 0.642
Cu 0.497 0.855 0.146
Cu 0.500 0.000 0.500
Cu 0.500 0.500 0.000
Cu 0.503 0.649 0.358
Cu 0.709 0.351 0.854
O 0.000 0.372 0.627
O 0.000 0.627 0.372
O 0.008 0.873 0.131
O 0.254 0.628 0.628
O 0.257 0.127 0.134
O 0.261 0.010 0.742
O 0.262 0.250 0.514
O 0.264 0.750 0.011
O 0.268 0.519 0.258
O 0.270 0.362 0.861
O 0.270 0.902 0.403
O 0.498 0.638 0.907
O 0.500 0.098 0.367
O 0.500 0.867 0.597
O 0.502 0.409 0.139
O 0.730 0.133 0.633
O 0.730 0.591 0.093
O 0.732 0.990 0.251
O 0.736 0.748 0.486
O 0.738 0.252 0.989
O 0.739 0.481 0.749
O 0.743 0.877 0.869
O 0.746 0.373 0.373
O 0.992 0.123 0.866

No. 6
This entry pairs a crystal structure of KMg6Cd with its computed X-ray powder pattern. Radiation: Cu Kα (λ = 1.5418 Å). Structure: a DFT-relaxed cell (GGA-PBE, the Materials Project).
Lines closer than 0.1° are merged.

Principal peaks in the range 10 to 90 degrees two-theta, sorted by position:
d (Å), I (rel.)
5.855, 49.8
3.944, 28.2
3.926, 21.1
2.927, 25.0
2.842, 19.0
2.668, 36.0
2.566, 100.0
2.547, 44.5
1.520, 18.3
1.421, 17.5

Unit cell a=5.336 b=6.783 c=11.592 alpha=90.00 beta=90.00 gamma=90.00
Positions (direct):
K 0.000 0.000 0.000
K 0.000 0.500 0.500
Mg 0.000 0.000 0.505
Mg 0.000 0.246 0.750
Mg 0.000 0.254 0.250
Mg 0.000 0.500 0.005
Mg 0.000 0.746 0.250
Mg 0.000 0.754 0.750
Mg 0.500 0.000 0.335
Mg 0.500 0.235 0.590
Mg 0.500 0.265 0.090
Mg 0.500 0.500 0.835
Mg 0.500 0.735 0.090
Mg 0.500 0.765 0.590
Cd 0.500 0.000 0.825
Cd 0.500 0.500 0.325

No. 7
This entry pairs a crystal structure of BeGaIr2 with its computed X-ray powder pattern. Radiation: Cu Kα (λ = 1.5418 Å). Structure: a DFT-relaxed cell (GGA-PBE, the Materials Project).
Lines closer than 0.1° are merged.

Principal peaks in the range 10 to 90 degrees two-theta, sorted by position:
d (Å), I (rel.)
3.400, 5.5
2.945, 55.7
2.082, 100.0
1.776, 2.6
1.700, 15.5
1.472, 16.6
1.351, 1.0
1.317, 20.2
1.202, 34.3
1.133, 0.7

Unit cell a=5.889 b=5.889 c=5.889 alpha=90.00 beta=90.00 gamma=90.00
Positions (direct):
Be 0.000 0.000 0.000
Be 0.000 0.500 0.500
Be 0.500 0.000 0.500
Be 0.500 0.500 0.000
Ga 0.000 0.000 0.500
Ga 0.000 0.500 0.000
Ga 0.500 0.000 0.000
Ga 0.500 0.500 0.500
Ir 0.250 0.250 0.250
Ir 0.250 0.250 0.750
Ir 0.250 0.750 0.250
Ir 0.250 0.750 0.750
Ir 0.750 0.250 0.250
Ir 0.750 0.250 0.750
Ir 0.750 0.750 0.250
Ir 0.750 0.750 0.750